Entry 1:
This entry pairs a crystal structure of TiIr3 with its simulated X-ray diffraction stick pattern. Radiation: Cu Kα, 1.54184 Å. Structure: a structure optimized by DFT (GGA-PBE).
Intensities are scaled so that the largest is 100.

Structural model:
a = 3.878 Å, b = 3.878 Å, c = 3.878 Å
α = 90.00°, β = 90.00°, γ = 90.00°
Space group Pm-3m (No. 221)
Inequivalent atoms, fractional coordinates:
Ti 0.000 0.000 0.000
Ir 0.000 0.500 0.500

Most intense lines, 2θ = 5–70°, in order of falling intensity:
2θ = 40.28°, intensity 100; 2θ = 46.85°, intensity 49; 2θ = 68.42°, intensity 32; 2θ = 22.93°, intensity 16; 2θ = 32.65°, intensity 14; 2θ = 52.78°, intensity 8; 2θ = 58.27°, intensity 6

---

Entry 2:
This entry pairs a crystal structure of LaMg3 with its simulated X-ray diffraction stick pattern. Radiation: Cu Kα, 1.54184 Å. Structure: a structure optimized by DFT (GGA-PBE).
Intensities are scaled so that the largest is 100.

Structural model:
a = 4.753 Å, b = 4.753 Å, c = 4.967 Å
α = 90.00°, β = 90.00°, γ = 90.00°
Space group P4/mmm (No. 123)
Inequivalent atoms, fractional coordinates:
La 0.000 0.000 0.000
Mg 0.000 0.500 0.500
Mg 0.500 0.500 0.000

Most intense lines, 2θ = 5–70°, in order of falling intensity:
2θ = 32.16°, intensity 100; 2θ = 18.67°, intensity 51; 2θ = 25.95°, intensity 46; 2θ = 37.86°, intensity 32; 2θ = 17.86°, intensity 28; 2θ = 64.81°, intensity 26; 2θ = 53.36°, intensity 23; 2θ = 26.52°, intensity 22; 2θ = 46.47°, intensity 19; 2θ = 36.17°, intensity 18; 2θ = 62.54°, intensity 14; 2θ = 41.01°, intensity 14

---

Entry 3:
This entry pairs a crystal structure of KH3C2S2O with its simulated X-ray diffraction stick pattern. Radiation: Cu Kα, 1.54184 Å. Structure: a structure optimized by DFT (GGA-PBE).
Intensities are scaled so that the largest is 100.

Structural model:
a = 6.647 Å, b = 10.715 Å, c = 13.977 Å
α = 71.62°, β = 82.04°, γ = 84.19°
Space group P-1 (No. 2)
Inequivalent atoms, fractional coordinates:
K 0.076 0.140 0.324
K 0.263 0.551 0.870
K 0.337 0.434 0.403
H 0.009 0.229 0.776
H 0.038 0.847 0.089
H 0.208 0.214 0.856
H 0.260 0.055 0.102
H 0.341 0.833 0.316
H 0.406 0.205 0.646
H 0.416 0.900 0.408
H 0.465 0.161 0.037
H 0.480 0.012 0.903
C 0.044 0.229 0.851
C 0.179 0.687 0.505
C 0.204 0.588 0.146
C 0.396 0.869 0.781
C 0.419 0.075 0.101
C 0.433 0.815 0.378
S 0.006 0.197 0.541
S 0.151 0.549 0.606
S 0.180 0.868 0.860
S 0.239 0.438 0.126
S 0.381 0.666 0.177
S 0.421 0.833 0.669
O 0.011 0.643 0.135
O 0.376 0.697 0.459
O 0.425 0.100 0.196

Most intense lines, 2θ = 5–70°, in order of falling intensity:
2θ = 8.71°, intensity 100; 2θ = 27.06°, intensity 87; 2θ = 20.59°, intensity 76; 2θ = 28.52°, intensity 76; 2θ = 9.23°, intensity 68; 2θ = 31.55°, intensity 65; 2θ = 27.94°, intensity 65; 2θ = 20.21°, intensity 60; 2θ = 29.19°, intensity 59; 2θ = 29.08°, intensity 54; 2θ = 33.63°, intensity 51; 2θ = 30.99°, intensity 50

---

Entry 4:
This entry pairs a crystal structure of LaU2O6 with its simulated X-ray diffraction stick pattern. Radiation: Cu Kα, 1.54184 Å. Structure: a structure optimized by DFT (GGA-PBE).
Intensities are scaled so that the largest is 100.

Structural model:
a = 3.886 Å, b = 5.530 Å, c = 11.523 Å
α = 90.00°, β = 90.00°, γ = 90.00°
Space group Immm (No. 71)
Inequivalent atoms, fractional coordinates:
La 0.000 0.000 0.000
U 0.000 0.000 0.333
O 0.000 0.229 0.500
O 0.000 0.260 0.175

Most intense lines, 2θ = 5–70°, in order of falling intensity:
2θ = 28.07°, intensity 100; 2θ = 28.29°, intensity 98; 2θ = 46.75°, intensity 84; 2θ = 32.78°, intensity 46; 2θ = 55.55°, intensity 31; 2θ = 55.93°, intensity 30; 2θ = 32.38°, intensity 24; 2θ = 47.33°, intensity 16; 2θ = 55.15°, intensity 16; 2θ = 55.28°, intensity 16; 2θ = 58.51°, intensity 10; 2θ = 68.72°, intensity 10

---

Entry 5:
This entry pairs a crystal structure of Zn2SnIrO6 with its simulated X-ray diffraction stick pattern. Radiation: Cu Kα, 1.54184 Å. Structure: a structure optimized by DFT (GGA-PBE).
Intensities are scaled so that the largest is 100.

Structural model:
a = 5.338 Å, b = 5.342 Å, c = 9.462 Å
α = 90.00°, β = 124.30°, γ = 90.00°
Space group P2_1/c (No. 14)
Inequivalent atoms, fractional coordinates:
Zn 0.240 0.029 0.250
Sn 0.000 0.000 0.500
Ir 0.500 0.000 0.000
O 0.135 0.095 0.757
O 0.245 0.667 0.569
O 0.404 0.176 0.567

Most intense lines, 2θ = 5–70°, in order of falling intensity:
2θ = 32.99°, intensity 100; 2θ = 33.57°, intensity 47; 2θ = 59.65°, intensity 45; 2θ = 58.54°, intensity 23; 2θ = 48.20°, intensity 21; 2θ = 23.56°, intensity 20; 2θ = 69.19°, intensity 13; 2θ = 46.47°, intensity 12; 2θ = 22.75°, intensity 11; 2θ = 20.14°, intensity 10; 2θ = 40.94°, intensity 7; 2θ = 52.75°, intensity 7

---

Question: What is the formula in the fourth record?
Answer: LaU2O6